1.
Diffraction record for NaLi2UF6. The X-ray diffraction stick pattern is computed, not measured: it uses a crystal structure in Alexandria, relaxed with GGA-PBE and Cu Kα.
Intensities are scaled so that the largest is 100.

Largest 8 diffraction maxima, by intensity, 10 to 90 degrees two-theta:
19.60 deg, d = 4.530 Å, I 100; 19.72 deg, d = 4.501 Å, I 97; 40.06 deg, d = 2.251 Å, I 44; 22.28 deg, d = 3.991 Å, I 43; 32.14 deg, d = 2.785 Å, I 41; 37.59 deg, d = 2.393 Å, I 40; 39.80 deg, d = 2.265 Å, I 38; 22.87 deg, d = 3.889 Å, I 38

Structural model:
Cell lengths 5.549, 5.549, 5.451 Å; angles 119.14, 119.14, 91.96 degrees
Atoms (fractional coordinates):
Na 0.000 0.000 0.000
Li 0.269 0.766 0.508
Li 0.766 0.269 0.508
U 0.539 0.539 0.048
F 0.121 0.121 0.601
F 0.415 0.415 0.358
F 0.566 0.963 0.500
F 0.569 0.941 0.001
F 0.941 0.569 0.001
F 0.963 0.566 0.500

---

2.
Diffraction record for Na2LiUF6. The X-ray diffraction stick pattern is computed, not measured: it uses a crystal structure in Alexandria, relaxed with GGA-PBE and Cu Kα.
Intensities are scaled so that the largest is 100.

Largest 8 diffraction maxima, by intensity, 10 to 90 degrees two-theta:
18.32 deg, d = 4.843 Å, I 100; 35.85 deg, d = 2.505 Å, I 58; 22.04 deg, d = 4.033 Å, I 52; 28.59 deg, d = 3.122 Å, I 49; 31.07 deg, d = 2.878 Å, I 48; 19.55 deg, d = 4.540 Å, I 44; 17.60 deg, d = 5.039 Å, I 40; 19.90 deg, d = 4.463 Å, I 29

Structural model:
Cell lengths 5.682, 5.765, 10.064 Å; angles 90.00, 117.51, 90.00 degrees
Atoms (fractional coordinates):
Na 0.190 0.054 0.238
Na 0.190 0.446 0.738
Na 0.810 0.554 0.262
Na 0.810 0.946 0.762
Li 0.000 0.000 0.500
Li 0.000 0.500 0.000
U 0.500 0.000 0.000
U 0.500 0.500 0.500
F 0.117 0.222 0.930
F 0.117 0.278 0.430
F 0.185 0.703 0.910
F 0.185 0.797 0.410
F 0.428 0.099 0.761
F 0.428 0.401 0.261
F 0.572 0.599 0.739
F 0.572 0.901 0.239
F 0.815 0.203 0.590
F 0.815 0.297 0.090
F 0.883 0.722 0.570
F 0.883 0.778 0.070

---

Repeat the second record exactly.
Diffraction record for Na2LiUF6. The X-ray diffraction stick pattern is computed, not measured: it uses a crystal structure in Alexandria, relaxed with GGA-PBE and Cu Kα.
Intensities are scaled so that the largest is 100.

Largest 8 diffraction maxima, by intensity, 10 to 90 degrees two-theta:
18.32 deg, d = 4.843 Å, I 100; 35.85 deg, d = 2.505 Å, I 58; 22.04 deg, d = 4.033 Å, I 52; 28.59 deg, d = 3.122 Å, I 49; 31.07 deg, d = 2.878 Å, I 48; 19.55 deg, d = 4.540 Å, I 44; 17.60 deg, d = 5.039 Å, I 40; 19.90 deg, d = 4.463 Å, I 29

Structural model:
Cell lengths 5.682, 5.765, 10.064 Å; angles 90.00, 117.51, 90.00 degrees
Atoms (fractional coordinates):
Na 0.190 0.054 0.238
Na 0.190 0.446 0.738
Na 0.810 0.554 0.262
Na 0.810 0.946 0.762
Li 0.000 0.000 0.500
Li 0.000 0.500 0.000
U 0.500 0.000 0.000
U 0.500 0.500 0.500
F 0.117 0.222 0.930
F 0.117 0.278 0.430
F 0.185 0.703 0.910
F 0.185 0.797 0.410
F 0.428 0.099 0.761
F 0.428 0.401 0.261
F 0.572 0.599 0.739
F 0.572 0.901 0.239
F 0.815 0.203 0.590
F 0.815 0.297 0.090
F 0.883 0.722 0.570
F 0.883 0.778 0.070